[1]
This entry pairs a crystal structure of Nd2Al5In with its calculated XRD peak list. Radiation: Cu Kα X-rays. Structure: DFT lattice parameters and positions (PBE).
Peak positions follow from Bragg's law for the DFT cell and can differ from measured ones.

Most intense lines, 10° ≤ 2θ ≤ 90°, in order of falling intensity:
Position (°2θ)  I/Imax
36.82  100
24.67  91
37.07  40
26.88  29
38.61  29
31.23  22
31.51  18
41.87  17

Structural model:
Cell lengths 4.6642, 6.5768, 6.5768 Å; angles 60.58, 90.00, 90.00 degrees
Fractional coordinates of all 8 atoms:
Nd (0.0000, 0.0000, 0.0000)
Nd (0.5000, 0.3224, 0.3224)
Al (0.0000, 0.5270, 0.9478)
Al (0.0000, 0.9478, 0.5270)
Al (0.5000, 0.3824, 0.8100)
Al (0.5000, 0.8060, 0.8060)
Al (0.5000, 0.8100, 0.3824)
In (0.0000, 0.5103, 0.5103)

***

[2]
This entry pairs a crystal structure of Nd3AlInNi4 with its calculated XRD peak list. Radiation: Cu Kα X-rays. Structure: DFT lattice parameters and positions (PBE).
Peak positions follow from Bragg's law for the DFT cell and can differ from measured ones.

Most intense lines, 10° ≤ 2θ ≤ 90°, in order of falling intensity:
Position (°2θ)  I/Imax
34.23  100
38.64  78
30.46  71
25.67  66
40.35  66
42.92  61
34.46  42
36.07  36

Structural model:
Cell lengths 5.4766, 5.4766, 8.5423 Å; angles 96.51, 96.51, 45.26 degrees
Fractional coordinates of all 9 atoms:
Nd (0.0000, 0.0000, 0.0000)
Nd (0.2529, 0.2529, 0.7609)
Nd (0.6217, 0.6217, 0.3749)
Al (0.2998, 0.2998, 0.1597)
In (0.9482, 0.9482, 0.5945)
Ni (0.3455, 0.3455, 0.4437)
Ni (0.5531, 0.5531, 0.7652)
Ni (0.7111, 0.7111, 0.0195)
Ni (0.8820, 0.8820, 0.2831)

***

[3]
This entry pairs a crystal structure of Zr2AlInNi2Pd2 with its calculated XRD peak list. Radiation: Cu Kα X-rays. Structure: DFT lattice parameters and positions (PBE).
Peak positions follow from Bragg's law for the DFT cell and can differ from measured ones.

Most intense lines, 10° ≤ 2θ ≤ 90°, in order of falling intensity:
Position (°2θ)  I/Imax
39.79  100
72.29  21
57.62  11
72.13  10
85.72  6
24.06  5
57.38  5
31.23  5

Structural model:
Cell lengths 4.5245, 4.5245, 6.4237 Å; angles 90.00, 90.00, 90.00 degrees
Fractional coordinates of all 8 atoms:
Zr (0.0000, 0.0000, 0.0000)
Zr (0.5000, 0.5000, 0.5000)
Al (0.0000, 0.0000, 0.5000)
In (0.5000, 0.5000, 0.0000)
Ni (0.0000, 0.5000, 0.2619)
Ni (0.5000, 0.0000, 0.7381)
Pd (0.0000, 0.5000, 0.7307)
Pd (0.5000, 0.0000, 0.2693)